Structure and theoretical PXRD pattern of Rb2Zr3PaO12 (DFT lattice parameters and positions (PBE); Cu Kα, 1.54184 Å).

Atomic structure:
Unit cell a=7.8406 b=7.8406 c=19.3466 alpha=90.00 beta=90.00 gamma=120.00
Space group R-3m (No. 166, hexagonal axes)
Unique sites:
Rb  0.0000  0.0000  0.1215 [6 per cell]
Zr  0.0000  0.5000  0.0000 [9 per cell]
Pa  0.0000  0.0000  0.5000 [3 per cell]
O  0.0719  0.5359  0.1071 [18 per cell]
O  0.0779  0.5389  0.3548 [18 per cell]

Top 10 peaks for 2θ from 10° to 90°, sorted by position:
| d/Å | Position (°2θ) | I (rel.) | index |
| --- | --- | --- | --- |
| 6.407 | 13.8 | 46 | 1 0 1 |
| 3.920 | 22.7 | 17 | 1 1 0 |
| 3.354 | 26.6 | 100 | 0 1 5 |
| 3.224 | 27.7 | 12 | 0 0 6 |
| 3.204 | 27.8 | 39 | 2 0 2 |
| 2.139 | 42.3 | 14 | 1 2 5 |
| 2.136 | 42.3 | 21 | 3 0 3 |
| 1.970 | 46.1 | 21 | 2 0 8 |
| 1.960 | 46.3 | 21 | 2 2 0 |
| 1.444 | 64.5 | 17 | 2 3 5 |